1.
Theoretical PXRD pattern
Compound: Ac3N2
Radiation: Cu Kα, 1.54184 Å
Structure: a structure optimized by DFT (PBE)
No peak broadening, texture or thermal motion is included.

Structure:
```
data_Ac3N2
_cell_length_a 3.8635
_cell_length_b 3.8635
_cell_length_c 30.4377
_cell_angle_alpha 90.00
_cell_angle_beta 90.00
_cell_angle_gamma 120.00
_space_group_name_H-M_alt 'R -3 m'
_space_group_IT_number 166
_space_group_name_Hall '-R 3 2"'
loop_
_atom_site_label
_atom_site_type_symbol
_atom_site_fract_x
_atom_site_fract_y
_atom_site_fract_z
Ac1 Ac 0.0000 0.0000 0.0000
Ac2 Ac 0.0000 0.0000 0.2321
N1 N 0.0000 0.0000 0.3904
```

Largest 10 diffraction maxima, low angle first, 10 to 90 degrees two-theta:
2θ 26.4, intensity 39, hkl 0 0 9; 2θ 26.8, intensity 22, hkl 1 0 1; 2θ 29.2, intensity 100, hkl 1 0 4; 2θ 30.5, intensity 60, hkl 0 1 5; 2θ 35.7, intensity 45, hkl 0 1 8; 2θ 47.0, intensity 37, hkl 1 1 0; 2θ 47.4, intensity 36, hkl 1 0 13; 2θ 54.7, intensity 34, hkl 1 1 9; 2θ 56.3, intensity 17, hkl 0 2 4; 2θ 58.5, intensity 16, hkl 0 1 17

=====

2.
Theoretical PXRD pattern
Compound: La2Bi7O14
Radiation: Cu Kα, 1.54184 Å
Structure: a structure optimized by DFT (PBE)
No peak broadening, texture or thermal motion is included.

Structure:
```
data_La2Bi7O14
_cell_length_a 7.044
_cell_length_b 7.188
_cell_length_c 10.206
_cell_angle_alpha 71.60
_cell_angle_beta 71.96
_cell_angle_gamma 61.19
_space_group_name_H-M_alt 'P 1'
_space_group_IT_number 1
_space_group_name_Hall 'P 1'
loop_
_atom_site_label
_atom_site_type_symbol
_atom_site_fract_x
_atom_site_fract_y
_atom_site_fract_z
La1 La 0.000 0.000 0.000
La2 La 0.311 0.338 0.024
Bi1 Bi 0.151 0.787 0.689
Bi2 Bi 0.287 0.528 0.353
Bi3 Bi 0.446 0.079 0.691
Bi4 Bi 0.575 0.864 0.367
Bi5 Bi 0.624 0.709 0.048
Bi6 Bi 0.730 0.366 0.694
Bi7 Bi 0.927 0.228 0.345
O1 O 0.001 0.208 0.132
O2 O 0.068 0.689 0.922
O3 O 0.095 0.103 0.740
O4 O 0.121 0.409 0.266
O5 O 0.242 0.918 0.413
O6 O 0.322 0.657 0.127
O7 O 0.382 0.405 0.721
O8 O 0.383 0.008 0.925
O9 O 0.504 0.184 0.422
O10 O 0.510 0.758 0.656
O11 O 0.612 0.972 0.134
O12 O 0.616 0.558 0.291
O13 O 0.675 0.329 0.913
O14 O 0.780 0.030 0.682
```

Largest 10 diffraction maxima, low angle first, 10 to 90 degrees two-theta:
2θ 26.4, intensity 100, hkl 1 -1 1; 2θ 26.7, intensity 80, hkl 2 1 0; 2θ 26.8, intensity 83, hkl 1 2 2; 2θ 28.2, intensity 94, hkl 0 0 3; 2θ 30.7, intensity 46, hkl 1 2 -1; 2θ 31.0, intensity 52, hkl -1 1 2; 2θ 32.2, intensity 41, hkl 2 1 3; 2θ 43.1, intensity 25, hkl 0 3 1; 2θ 45.3, intensity 24, hkl 2 1 -3; 2θ 45.7, intensity 27, hkl 1 -1 4

=====

3.
Theoretical PXRD pattern
Compound: Na2SrIO4
Radiation: Cu Kα, 1.54184 Å
Structure: a structure optimized by DFT (PBE)
No peak broadening, texture or thermal motion is included.

Structure:
```
data_Na2SrIO4
_cell_length_a 6.117
_cell_length_b 6.117
_cell_length_c 6.765
_cell_angle_alpha 90.00
_cell_angle_beta 90.00
_cell_angle_gamma 90.00
_space_group_name_H-M_alt 'I -4'
_space_group_IT_number 82
_space_group_name_Hall 'I -4'
loop_
_atom_site_label
_atom_site_type_symbol
_atom_site_fract_x
_atom_site_fract_y
_atom_site_fract_z
Na1 Na 0.000 0.000 0.000
Na2 Na 0.000 0.500 0.250
Sr1 Sr 0.000 0.000 0.500
I1 I 0.000 0.500 0.750
O1 O 0.203 0.232 0.766
```

Largest 10 diffraction maxima, low angle first, 10 to 90 degrees two-theta:
2θ 19.6, intensity 88, hkl 1 0 1; 2θ 29.2, intensity 43, hkl 2 0 0; 2θ 33.6, intensity 100, hkl 1 1 2; 2θ 35.4, intensity 35, hkl 2 1 1; 2θ 41.8, intensity 39, hkl 2 2 0; 2θ 42.7, intensity 12, hkl 1 0 3; 2θ 54.7, intensity 51, hkl 3 1 2; 2θ 55.9, intensity 12, hkl 3 2 1; 2θ 70.7, intensity 14, hkl 2 2 4; 2θ 86.0, intensity 13, hkl 1 5 2

=====

4.
Theoretical PXRD pattern
Compound: TlNi2As2
Radiation: Cu Kα, 1.54184 Å
Structure: a structure optimized by DFT (PBE)
No peak broadening, texture or thermal motion is included.

Structure:
```
data_TlNi2As2
_cell_length_a 4.226
_cell_length_b 4.226
_cell_length_c 10.554
_cell_angle_alpha 90.00
_cell_angle_beta 90.00
_cell_angle_gamma 90.00
_space_group_name_H-M_alt 'I 4/m m m'
_space_group_IT_number 139
_space_group_name_Hall '-I 4 2'
loop_
_atom_site_label
_atom_site_type_symbol
_atom_site_fract_x
_atom_site_fract_y
_atom_site_fract_z
Tl1 Tl 0.000 0.000 0.000
Ni1 Ni 0.000 0.000 0.359
As1 As 0.000 0.500 0.250
```

Largest 10 diffraction maxima, low angle first, 10 to 90 degrees two-theta:
2θ 22.7, intensity 34, hkl 1 0 1; 2θ 29.9, intensity 20, hkl 1 1 0; 2θ 33.1, intensity 100, hkl 1 0 3; 2θ 34.5, intensity 97, hkl 1 1 2; 2θ 42.8, intensity 58, hkl 2 0 0; 2θ 48.2, intensity 19, hkl 1 0 5; 2θ 55.2, intensity 46, hkl 2 1 3; 2θ 61.1, intensity 31, hkl 1 1 6; 2θ 62.1, intensity 19, hkl 2 2 0; 2θ 73.0, intensity 22, hkl 3 1 2

=====

5.
Theoretical PXRD pattern
Compound: RbMgV2Cl8
Radiation: Cu Kα, 1.54184 Å
Structure: a structure optimized by DFT (PBE)
No peak broadening, texture or thermal motion is included.

Structure:
```
data_RbMgV2Cl8
_cell_length_a 6.113
_cell_length_b 7.824
_cell_length_c 6.352
_cell_angle_alpha 90.00
_cell_angle_beta 95.17
_cell_angle_gamma 90.00
_space_group_name_H-M_alt 'P 1 2/m 1'
_space_group_IT_number 10
_space_group_name_Hall '-P 2y'
loop_
_atom_site_label
_atom_site_type_symbol
_atom_site_fract_x
_atom_site_fract_y
_atom_site_fract_z
Rb1 Rb 0.000 0.000 0.000
Mg1 Mg 0.000 0.500 0.000
V1 V 0.500 0.258 0.500
Cl1 Cl 0.265 0.290 0.172
Cl2 Cl 0.281 0.500 0.639
Cl3 Cl 0.299 0.000 0.618
```

Largest 10 diffraction maxima, low angle first, 10 to 90 degrees two-theta:
2θ 19.3, intensity 100, hkl 1 0 -1; 2θ 21.1, intensity 50, hkl 1 0 1; 2θ 27.1, intensity 45, hkl 1 2 0; 2θ 30.0, intensity 28, hkl 1 2 -1; 2θ 30.7, intensity 35, hkl 1 0 -2; 2θ 31.2, intensity 56, hkl 1 2 1; 2θ 38.5, intensity 27, hkl 1 2 -2; 2θ 39.2, intensity 90, hkl 2 2 -1; 2θ 41.1, intensity 32, hkl 2 2 1; 2θ 49.1, intensity 42, hkl 0 2 3

=====

6.
Theoretical PXRD pattern
Compound: Bi2OsO8
Radiation: Cu Kα, 1.54184 Å
Structure: a structure optimized by DFT (PBE)
No peak broadening, texture or thermal motion is included.

Structure:
```
data_Bi2OsO8
_cell_length_a 16.722
_cell_length_b 3.314
_cell_length_c 7.918
_cell_angle_alpha 90.00
_cell_angle_beta 111.46
_cell_angle_gamma 90.00
_space_group_name_H-M_alt 'C 1 2/m 1'
_space_group_IT_number 12
_space_group_name_Hall '-C 2y'
loop_
_atom_site_label
_atom_site_type_symbol
_atom_site_fract_x
_atom_site_fract_y
_atom_site_fract_z
Bi1 Bi 0.151 0.000 0.426
Os1 Os 0.000 0.500 0.000
O1 O 0.057 0.000 0.151
O2 O 0.078 0.500 0.902
O3 O 0.098 0.500 0.515
O4 O 0.221 0.500 0.347
```

Largest 10 diffraction maxima, low angle first, 10 to 90 degrees two-theta:
2θ 12.0, intensity 15, hkl 0 0 1; 2θ 13.2, intensity 100, hkl 2 0 -1; 2θ 21.6, intensity 15, hkl 4 0 -1; 2θ 24.2, intensity 19, hkl 0 0 2; 2θ 29.6, intensity 20, hkl 4 0 1; 2θ 31.0, intensity 26, hkl 1 1 1; 2θ 32.0, intensity 33, hkl 3 1 0; 2θ 36.3, intensity 16, hkl 3 1 -2; 2θ 46.7, intensity 13, hkl 5 1 -3; 2θ 55.5, intensity 12, hkl 0 2 0

=====

7.
Theoretical PXRD pattern
Compound: LiB3C3
Radiation: Cu Kα, 1.54184 Å
Structure: a structure optimized by DFT (PBE)
No peak broadening, texture or thermal motion is included.

Structure:
```
data_LiB3C3
_cell_length_a 4.6682
_cell_length_b 4.6682
_cell_length_c 7.3249
_cell_angle_alpha 90.00
_cell_angle_beta 90.00
_cell_angle_gamma 120.00
_space_group_name_H-M_alt 'P 63/m c m'
_space_group_IT_number 193
_space_group_name_Hall '-P 6c 2'
loop_
_atom_site_label
_atom_site_type_symbol
_atom_site_fract_x
_atom_site_fract_y
_atom_site_fract_z
Li1 Li 0.0000 0.0000 0.0000
B1 B 0.0000 0.3369 0.2500
C1 C 0.0000 0.3304 0.7500
```

Largest 10 diffraction maxima, low angle first, 10 to 90 degrees two-theta:
2θ 22.0, intensity 3, hkl 1 0 0; 2θ 24.3, intensity 100, hkl 0 0 2; 2θ 33.0, intensity 2, hkl 1 0 2; 2θ 38.6, intensity 12, hkl 1 1 0; 2θ 46.1, intensity 26, hkl 1 1 2; 2θ 49.8, intensity 11, hkl 0 0 4; 2θ 64.7, intensity 3, hkl 1 1 4; 2θ 69.8, intensity 10, hkl 3 0 0; 2θ 75.1, intensity 10, hkl 3 0 2; 2θ 87.8, intensity 3, hkl 2 2 2

=====

8.
Theoretical PXRD pattern
Compound: Nd2Tl2Rh3
Radiation: Cu Kα, 1.54184 Å
Structure: a structure optimized by DFT (PBE)
No peak broadening, texture or thermal motion is included.

Structure:
```
data_Nd2Tl2Rh3
_cell_length_a 8.675
_cell_length_b 8.675
_cell_length_c 8.675
_cell_angle_alpha 90.00
_cell_angle_beta 90.00
_cell_angle_gamma 90.00
_space_group_name_H-M_alt 'I 21 3'
_space_group_IT_number 199
_space_group_name_Hall 'I 2b 2c 3'
loop_
_atom_site_label
_atom_site_type_symbol
_atom_site_fract_x
_atom_site_fract_y
_atom_site_fract_z
Nd1 Nd 0.234 0.234 0.234
Tl1 Tl 0.057 0.443 0.557
Rh1 Rh 0.000 0.250 0.008
```

Largest 10 diffraction maxima, low angle first, 10 to 90 degrees two-theta:
2θ 29.1, intensity 97, hkl 2 2 0; 2θ 32.6, intensity 91, hkl 3 1 0; 2θ 35.9, intensity 44, hkl 2 2 2; 2θ 38.8, intensity 100, hkl 3 1 2; 2θ 41.6, intensity 47, hkl 4 0 0; 2θ 49.3, intensity 35, hkl 3 3 2; 2θ 53.9, intensity 44, hkl 4 1 3; 2θ 60.4, intensity 25, hkl 4 4 0; 2θ 70.3, intensity 21, hkl 5 4 1; 2θ 72.2, intensity 42, hkl 6 2 2